# 1
For KNa2ZnO, a DFT-relaxed cell (GGA-PBE, Alexandria) gives the computed powder XRD pattern in this record (Cu Kα X-rays).
Kinematic intensities with the Lorentz-polarization factor, no thermal factor.

Structural model:
abc: 4.7386 4.7386 5.4368
angles: 90.00 90.00 90.00
Fractional positions:
K1 0.0000 0.0000 0.0000
Na1 0.0000 0.5000 0.5000
Na2 0.5000 0.0000 0.5000
Zn1 0.5000 0.5000 0.0000
O1 0.0000 0.0000 0.5000

Most intense lines, 5° ≤ 2θ ≤ 70°, sorted by position:
2θ (°)  Rel. int.
24.93  19
26.60  24
31.36  100
32.95  33
37.98  44
51.14  35
54.79  14
57.84  16
64.50  22
65.44  15

---

# 2
For KNa2PS4, a DFT-relaxed cell (GGA-PBE, Alexandria) gives the computed powder XRD pattern in this record (Cu Kα X-rays).
Kinematic intensities with the Lorentz-polarization factor, no thermal factor.

Structural model:
abc: 8.0286 8.0286 8.0975
angles: 115.91 115.91 89.33
Fractional positions:
K1 0.0000 0.0000 0.0000
K2 0.0000 0.0000 0.5000
Na1 0.0000 0.5000 0.0000
Na2 0.5000 0.0000 0.5000
Na3 0.5000 0.5000 0.0000
Na4 0.5000 0.5000 0.5000
P1 0.0000 0.5000 0.5000
P2 0.5000 0.0000 0.0000
S1 0.1567 0.6432 0.4143
S2 0.2104 0.3370 0.5435
S3 0.3370 0.2104 0.0435
S4 0.3568 0.8433 0.0857
S5 0.6432 0.1567 0.9143
S6 0.6630 0.7896 0.9565
S7 0.7896 0.6630 0.4565
S8 0.8433 0.3568 0.5857

Most intense lines, 5° ≤ 2θ ≤ 70°, sorted by position:
2θ (°)  Rel. int.
13.52  47
22.85  69
27.93  100
31.54  62
31.71  54
33.77  37
42.76  29
45.11  31
45.33  18
46.68  18